Entry 1:
For La2Pr2Se3O4, a structure optimized by DFT (GGA-PBE) gives the computed powder XRD pattern in this record (copper Kα).
Neutral-atom scattering factors, no anomalous dispersion.

Principal peaks in the range 10 to 90 degrees two-theta, most intense first:
(hkl)  2θ (°)  d [Å]  intensity
0 1 3  30.03  2.976  100
2 0 2  24.97  3.567  53
2 1 1  31.17  2.870  53
2 0 4  34.59  2.593  28
2 1 5  46.45  1.955  23
0 2 0  44.51  2.035  20
2 2 4  57.55  1.602  17
4 1 3  52.91  1.731  17

Structure:
Cell: 8.5094 4.0708 13.0823 Å, 90.00 90.00 90.00°
Space group Amm2 (No. 38)
Symmetry-distinct sites (fractional):
La 0.2380 0.0000 0.0000 x4
Pr 0.0000 0.0000 0.3158 x2
Pr 0.5000 0.0000 0.3310 x2
Se 0.0000 0.0000 0.6308 x2
Se 0.3512 0.0000 0.6747 x4
O 0.0000 0.0000 0.9036 x2
O 0.2439 0.0000 0.4044 x4
O 0.5000 0.0000 0.9301 x2



Entry 2:
For MgAl2FeCu4, a structure optimized by DFT (GGA-PBE) gives the computed powder XRD pattern in this record (copper Kα).
Neutral-atom scattering factors, no anomalous dispersion.

Principal peaks in the range 10 to 90 degrees two-theta, most intense first:
(hkl)  2θ (°)  d [Å]  intensity
2 0 4  42.83  2.111  100
2 2 0  43.50  2.081  47
4 2 4  79.38  1.207  27
2 2 8  77.99  1.225  15
2 0 0  30.38  2.942  14
4 0 0  63.20  1.471  14
1 0 1  16.75  5.294  9
0 0 8  61.14  1.516  8

Structure:
Cell: 5.8849 5.8849 12.1264 Å, 90.00 90.00 90.00°
Space group I4_1/amd (No. 141, origin choice 2)
Symmetry-distinct sites (fractional):
Mg 0.0000 0.2500 0.3750 x4
Al 0.0000 0.2500 0.1301 x8
Fe 0.0000 0.2500 0.8750 x4
Cu 0.2337 0.0000 0.0000 x16



Entry 3:
For IrI3, a structure optimized by DFT (GGA-PBE) gives the computed powder XRD pattern in this record (copper Kα).
Neutral-atom scattering factors, no anomalous dispersion.

Principal peaks in the range 10 to 90 degrees two-theta, most intense first:
(hkl)  2θ (°)  d [Å]  intensity
0 1 1  15.76  5.622  100
1 1 -4  30.11  2.968  64
1 1 2  29.97  2.981  64
2 1 -2  29.37  3.041  55
2 2 -2  38.23  2.354  49
1 2 -4  38.82  2.320  36
1 2 2  38.71  2.326  35
1 0 -2  14.97  5.918  31

Structure:
Cell: 6.8994 6.4431 13.3803 Å, 90.00 120.66 90.00°
Space group P2_1/c (No. 14)
Symmetry-distinct sites (fractional):
Ir 0.1605 0.0007 0.4101 x4
I 0.1523 0.7261 0.0767 x4
I 0.1787 0.2475 0.7501 x4
I 0.4990 0.7248 0.9228 x4



Entry 4:
For Dy3Er3Bi2Os, a structure optimized by DFT (GGA-PBE) gives the computed powder XRD pattern in this record (copper Kα).
Neutral-atom scattering factors, no anomalous dispersion.

Principal peaks in the range 10 to 90 degrees two-theta, most intense first:
(hkl)  2θ (°)  d [Å]  intensity
1 0 2  30.20  2.959  100
1 4 0  32.75  2.735  87
1 4 2  39.51  2.281  66
0 4 2  33.11  2.706  51
0 6 0  37.69  2.386  50
1 7 3  60.45  1.531  35
2 0 0  42.67  2.119  30
2 6 0  58.23  1.584  29

Structure:
Cell: 4.2375 14.3140 8.2694 Å, 90.00 90.00 90.00°
Space group Amm2 (No. 38)
Symmetry-distinct sites (fractional):
Dy 0.0000 0.0000 0.0000 x2
Dy 0.0000 0.1935 0.4194 x4
Er 0.5000 0.0000 0.3804 x2
Er 0.5000 0.1162 0.7290 x4
Bi 0.5000 0.1665 0.1130 x4
Os 0.0000 0.0000 0.6122 x2



Entry 5:
For Rb2GdTmO4, a structure optimized by DFT (GGA-PBE) gives the computed powder XRD pattern in this record (copper Kα).
Neutral-atom scattering factors, no anomalous dispersion.

Principal peaks in the range 10 to 90 degrees two-theta, most intense first:
(hkl)  2θ (°)  d [Å]  intensity
0 1 2  32.93  2.720  100
0 0 4  27.61  3.231  35
0 1 6  52.30  1.749  33
0 0 2  13.70  6.461  28
1 1 0  52.88  1.731  25
1 1 4  60.68  1.526  24
1 0 4  41.07  2.198  23
1 0 3  36.51  2.461  21

Structure:
Cell: 3.4628 3.4628 12.9227 Å, 90.00 90.00 120.00°
Space group P-3m1 (No. 164)
Symmetry-distinct sites (fractional):
Rb 0.3333 0.6667 0.2486 x2
Gd 0.0000 0.0000 0.5000 x1
Tm 0.0000 0.0000 0.0000 x1
O 0.3333 0.6667 0.5922 x2
O 0.3333 0.6667 0.9136 x2



Entry 6:
For MgNiSb, a structure optimized by DFT (GGA-PBE) gives the computed powder XRD pattern in this record (copper Kα).
Neutral-atom scattering factors, no anomalous dispersion.

Principal peaks in the range 10 to 90 degrees two-theta, most intense first:
(hkl)  2θ (°)  d [Å]  intensity
1 1 1  34.92  2.570  100
2 0 1  38.02  2.367  52
2 1 1  46.27  1.962  51
3 0 0  44.74  2.026  49
0 0 1  23.57  3.774  49
1 1 0  25.39  3.508  48
2 1 0  39.22  2.297  34
3 2 1  72.24  1.308  29

Structure:
Cell: 7.0169 7.0169 3.7740 Å, 90.00 90.00 120.00°
Space group P-62m (No. 189)
Symmetry-distinct sites (fractional):
Mg 0.0000 0.6084 0.0000 x3
Ni 0.0000 0.0000 0.0000 x1
Ni 0.3333 0.6667 0.5000 x2
Sb 0.0000 0.2762 0.5000 x3



Entry 7:
For CsRbPAu, a structure optimized by DFT (GGA-PBE) gives the computed powder XRD pattern in this record (copper Kα).
Neutral-atom scattering factors, no anomalous dispersion.

Principal peaks in the range 10 to 90 degrees two-theta, most intense first:
(hkl)  2θ (°)  d [Å]  intensity
1 0 -2  27.61  3.230  100
0 2 1  29.99  2.980  96
1 0 0  14.27  6.208  84
2 1 -1  30.65  2.917  58
1 2 -1  31.20  2.867  55
0 2 3  51.73  1.767  55
1 1 1  26.82  3.324  47
1 2 1  35.40  2.536  40

Structure:
Cell: 6.5680 6.7923 6.5692 Å, 90.00 109.05 90.00°
Space group P2_1/m (No. 11)
Symmetry-distinct sites (fractional):
Cs 0.1826 0.2500 0.0253 x2
Rb 0.4777 0.7500 0.3242 x2
P 0.2340 0.7500 0.7200 x2
Au 0.0000 0.0000 0.5000 x2



Entry 8:
For DyYCo2C2, a structure optimized by DFT (GGA-PBE) gives the computed powder XRD pattern in this record (copper Kα).
Neutral-atom scattering factors, no anomalous dispersion.

Principal peaks in the range 10 to 90 degrees two-theta, most intense first:
(hkl)  2θ (°)  d [Å]  intensity
1 0 2  35.93  2.499  100
1 1 0  35.15  2.553  47
2 1 2  63.58  1.463  36
2 0 0  50.56  1.805  20
1 1 4  65.09  1.433  15
1 0 0  24.66  3.611  15
2 0 4  76.18  1.250  11
0 0 1  12.78  6.926  9

Structure:
Cell: 3.6107 3.6107 6.9261 Å, 90.00 90.00 90.00°
Space group P-4m2 (No. 115)
Symmetry-distinct sites (fractional):
Dy 0.0000 0.0000 0.0000 x1
Y 0.0000 0.0000 0.5000 x1
Co 0.5000 0.5000 0.2498 x2
C 0.0000 0.5000 0.7505 x2



Entry 9:
For Li2Sc2AlInAg2, a structure optimized by DFT (GGA-PBE) gives the computed powder XRD pattern in this record (copper Kα).
Neutral-atom scattering factors, no anomalous dispersion.

Principal peaks in the range 10 to 90 degrees two-theta, most intense first:
(hkl)  2θ (°)  d [Å]  intensity
2 0 0  38.67  2.329  100
1 0 1  23.39  3.803  56
3 1 2  69.98  1.344  31
2 1 1  45.69  1.986  27
2 2 0  55.88  1.645  11
3 0 1  61.35  1.511  10
1 1 1  30.35  2.945  7
1 0 0  19.07  4.654  7

Structure:
Cell: 4.6536 4.6536 6.5970 Å, 90.00 90.00 90.00°
Space group P-4m2 (No. 115)
Symmetry-distinct sites (fractional):
Li 0.0000 0.5000 0.2426 x2
Sc 0.0000 0.0000 0.0000 x1
Sc 0.5000 0.5000 0.5000 x1
Al 0.5000 0.5000 0.0000 x1
In 0.0000 0.0000 0.5000 x1
Ag 0.0000 0.5000 0.7647 x2



Entry 10:
For Li2ZrF5, a structure optimized by DFT (GGA-PBE) gives the computed powder XRD pattern in this record (copper Kα).
Neutral-atom scattering factors, no anomalous dispersion.

Principal peaks in the range 10 to 90 degrees two-theta, most intense first:
(hkl)  2θ (°)  d [Å]  intensity
1 1 0  19.81  4.482  100
2 0 0  19.42  4.572  78
1 1 -2  31.42  2.847  63
2 0 -2  28.02  3.184  42
3 1 0  34.20  2.622  40
0 0 2  27.69  3.221  33
3 1 -2  37.45  2.401  32
4 2 -2  54.09  1.696  28

Structure:
Cell: 9.7070 5.1418 6.8397 Å, 90.00 109.62 90.00°
Space group C2/c (No. 15)
Symmetry-distinct sites (fractional):
Li 0.1370 0.0208 0.2316 x8
Zr 0.0000 0.5000 0.0000 x4
F 0.0000 0.2401 0.7500 x4
F 0.1059 0.1555 0.4696 x8
F 0.1979 0.3321 0.1451 x8



Entry 11:
For NdDyInNi2, a structure optimized by DFT (GGA-PBE) gives the computed powder XRD pattern in this record (copper Kα).
Neutral-atom scattering factors, no anomalous dispersion.

Principal peaks in the range 10 to 90 degrees two-theta, most intense first:
(hkl)  2θ (°)  d [Å]  intensity
1 1 1  33.61  2.667  100
1 0 4  34.65  2.589  73
0 1 3  29.22  3.056  42
0 1 5  38.64  2.330  35
1 1 3  38.09  2.362  35
1 2 4  58.68  1.573  31
0 2 0  45.79  1.981  25
2 0 0  48.92  1.862  21

Structure:
Cell: 3.7240 3.9628 14.4033 Å, 90.00 90.00 90.00°
Space group Amm2 (No. 38)
Symmetry-distinct sites (fractional):
Nd 0.0000 0.0000 0.0000 x2
Dy 0.0000 0.0000 0.7248 x2
In 0.5000 0.0000 0.3595 x2
Ni 0.5000 0.0000 0.1661 x2
Ni 0.5000 0.0000 0.5666 x2



Entry 12:
For DyLuCSe, a structure optimized by DFT (GGA-PBE) gives the computed powder XRD pattern in this record (copper Kα).
Neutral-atom scattering factors, no anomalous dispersion.

Principal peaks in the range 10 to 90 degrees two-theta, most intense first:
(hkl)  2θ (°)  d [Å]  intensity
1 0 3  34.64  2.590  100
1 0 0  27.74  3.216  29
1 1 0  49.06  1.857  28
2 0 3  61.45  1.509  19
2 1 3  82.35  1.171  17
1 0 7  56.96  1.617  15
1 1 6  66.05  1.415  15
1 0 1  28.58  3.123  14

Structure:
Cell: 3.7135 3.7135 13.1027 Å, 90.00 90.00 120.00°
Space group P6_3mc (No. 186)
Symmetry-distinct sites (fractional):
Dy 0.3333 0.6667 0.0000 x2
Lu 0.3333 0.6667 0.6990 x2
C 0.0000 0.0000 0.1013 x2
Se 0.3333 0.6667 0.3457 x2



Entry 13:
For TmZrSi4, a structure optimized by DFT (GGA-PBE) gives the computed powder XRD pattern in this record (copper Kα).
Neutral-atom scattering factors, no anomalous dispersion.

Principal peaks in the range 10 to 90 degrees two-theta, most intense first:
(hkl)  2θ (°)  d [Å]  intensity
1 1 3  38.33  2.348  100
1 0 2  26.69  3.340  55
0 1 1  24.38  3.650  34
0 1 5  37.64  2.390  31
0 0 2  11.43  7.744  24
0 1 3  29.41  3.037  23
1 1 1  34.51  2.599  21
1 0 6  42.70  2.117  21

Structure:
Cell: 3.7020 3.7563 15.4874 Å, 90.00 90.00 90.00°
Space group Amm2 (No. 38)
Symmetry-distinct sites (fractional):
Tm 0.0000 0.0000 0.0000 x2
Zr 0.5000 0.0000 0.2122 x2
Si 0.0000 0.0000 0.3526 x2
Si 0.0000 0.0000 0.6619 x2
Si 0.5000 0.0000 0.5653 x2
Si 0.5000 0.0000 0.8508 x2



Entry 14:
For Rb2Sb2Pd2O7, a structure optimized by DFT (GGA-PBE) gives the computed powder XRD pattern in this record (copper Kα).
Neutral-atom scattering factors, no anomalous dispersion.

Principal peaks in the range 10 to 90 degrees two-theta, most intense first:
(hkl)  2θ (°)  d [Å]  intensity
1 1 0  29.25  3.053  100
1 0 2  27.96  3.191  76
0 2 2  40.91  2.206  36
2 1 2  51.08  1.788  33
0 0 2  22.21  4.002  22
1 0 4  48.65  1.872  21
3 0 0  51.87  1.763  19
0 1 1  20.12  4.412  17

Structure:
Cell: 6.1065 6.1065 8.0050 Å, 90.00 90.00 120.00°
Space group P-3m1 (No. 164)
Symmetry-distinct sites (fractional):
Rb 0.3333 0.6667 0.1162 x2
Sb 0.3333 0.6667 0.6551 x2
Pd 0.0000 0.0000 0.2580 x2
O 0.0000 0.0000 0.5000 x1
O 0.1854 0.3708 0.8043 x6